(1)
Ca3Zn2Ag6: theoretical X-ray powder pattern (Cu Kα, 1.54184 Å), based on a crystal structure in Alexandria, relaxed with GGA-PBE.
Peak positions follow from Bragg's law for the DFT cell and can differ from measured ones.

Largest 8 diffraction maxima, low angle first, 2θ = 5–70°:
| index | 2θ (°) | I/Imax |
| --- | --- | --- |
| 1 1 0 | 12.61 | 46 |
| 2 1 1 | 21.94 | 17 |
| 3 2 1 | 33.79 | 34 |
| 3 3 0 | 38.49 | 100 |
| 4 2 0 | 40.66 | 21 |
| 4 2 2 | 44.74 | 14 |
| 5 3 2 | 57.22 | 14 |
| 6 3 3 | 69.62 | 28 |

Crystal structure
```
data_Ca3Zn2Ag6
_symmetry_space_group_name_H-M 'I m -3 m'
_symmetry_Int_Tables_number 229
_symmetry_space_group_name_Hall '-I 4 2 3'
_cell_length_a 9.9241
_cell_length_b 9.9241
_cell_length_c 9.9241
_cell_angle_alpha 90.00
_cell_angle_beta 90.00
_cell_angle_gamma 90.00
loop_
_atom_site_label
_atom_site_fract_x
_atom_site_fract_y
_atom_site_fract_z
Ca1 0.0000 0.0000 0.2851
Zn1 0.2500 0.2500 0.2500
Ag1 0.0000 0.3288 0.3288
```



(2)
NaTiPtSe3: theoretical X-ray powder pattern (Cu Kα, 1.54184 Å), based on a crystal structure in Alexandria, relaxed with GGA-PBE.
Peak positions follow from Bragg's law for the DFT cell and can differ from measured ones.

Largest 8 diffraction maxima, low angle first, 2θ = 5–70°:
| index | 2θ (°) | I/Imax |
| --- | --- | --- |
| 0 0 1 | 12.50 | 100 |
| 0 2 1 | 21.97 | 24 |
| 1 0 0 | 25.13 | 24 |
| 0 2 2 | 31.09 | 21 |
| 1 1 -2 | 32.25 | 48 |
| 1 2 1 | 36.00 | 66 |
| 0 4 0 | 36.44 | 27 |
| 1 2 2 | 44.42 | 27 |

Crystal structure
```
data_NaTiPtSe3
_symmetry_space_group_name_H-M 'P 1 21/m 1'
_symmetry_Int_Tables_number 11
_cell_length_a 3.6599
_cell_length_b 9.8624
_cell_length_c 7.3132
_cell_angle_alpha 90.00
_cell_angle_beta 104.49
_cell_angle_gamma 90.00
loop_
_symmetry_equiv_pos_as_xyz
'x,y,z'
'-x,-y,-z'
'-x,y+1/2,-z'
'x,-y+1/2,z'
loop_
_atom_site_label
_atom_site_fract_x
_atom_site_fract_y
_atom_site_fract_z
Na1 0.2269 0.2500 0.4554
Ti1 0.0000 0.0000 0.0000
Pt1 0.4671 0.7500 0.9336
Se1 0.0871 0.7500 0.1739
Se2 0.3696 0.5406 0.7389
```